The following is a theoretical PXRD pattern of TbTmO3. It was derived from a structure optimized by DFT (GGA-PBE), using Cu Kα X-rays.
Neutral-atom scattering factors, no anomalous dispersion.

Atomic structure:
Cell lengths 5.9266, 8.3355, 5.6555 Å; angles 90.00, 90.00, 90.00 degrees
Atoms (fractional coordinates):
Tb 0.0544 0.2500 0.0167
Tb 0.4456 0.7500 0.5167
Tb 0.5544 0.2500 0.4833
Tb 0.9456 0.7500 0.9833
Tm 0.0000 0.0000 0.5000
Tm 0.0000 0.5000 0.5000
Tm 0.5000 0.0000 0.0000
Tm 0.5000 0.5000 0.0000
O 0.0732 0.7500 0.3562
O 0.1863 0.5753 0.8172
O 0.1863 0.9247 0.8172
O 0.3137 0.0753 0.3172
O 0.3137 0.4247 0.3172
O 0.4268 0.2500 0.8562
O 0.5732 0.7500 0.1438
O 0.6863 0.5753 0.6828
O 0.6863 0.9247 0.6828
O 0.8137 0.0753 0.1828
O 0.8137 0.4247 0.1828
O 0.9268 0.2500 0.6438

The 12 most intense peaks (10 to 80 degrees two-theta), in order of falling intensity:
two_theta	I_rel
30.6	100
53.8	25
55.7	23
31.6	22
30.2	22
44.3	18
63.8	12
43.4	12
54.7	11
71.8	9
73.0	7
50.1	6

The following is a theoretical PXRD pattern of Eu2H4Pd. It was derived from a structure optimized by DFT (GGA-PBE), using Cu Kα X-rays.
Neutral-atom scattering factors, no anomalous dispersion.

Atomic structure:
Cell lengths 7.4763, 5.4019, 9.5258 Å; angles 90.00, 90.00, 90.00 degrees
Atoms (fractional coordinates):
Eu 0.0112 0.2500 0.1693
Eu 0.1510 0.7500 0.4080
Eu 0.3490 0.2500 0.9080
Eu 0.4888 0.7500 0.6693
Eu 0.5112 0.2500 0.3307
Eu 0.6510 0.7500 0.0920
Eu 0.8490 0.2500 0.5920
Eu 0.9888 0.7500 0.8307
H 0.0016 0.7500 0.1020
H 0.1727 0.5217 0.6605
H 0.1727 0.9783 0.6605
H 0.1774 0.2500 0.4048
H 0.3226 0.7500 0.9048
H 0.3273 0.0217 0.1605
H 0.3273 0.4783 0.1605
H 0.4984 0.2500 0.6020
H 0.5016 0.7500 0.3980
H 0.6727 0.5217 0.8395
H 0.6727 0.9783 0.8395
H 0.6774 0.2500 0.0952
H 0.8226 0.7500 0.5952
H 0.8273 0.0217 0.3395
H 0.8273 0.4783 0.3395
H 0.9984 0.2500 0.8980
Pd 0.2396 0.7500 0.0843
Pd 0.2604 0.2500 0.5843
Pd 0.7396 0.7500 0.4157
Pd 0.7604 0.2500 0.9157

The 12 most intense peaks (10 to 80 degrees two-theta), in order of falling intensity:
two_theta	I_rel
30.6	100
27.7	97
33.2	64
32.7	55
50.8	24
40.9	23
30.4	21
29.0	20
37.3	18
41.0	17
56.1	17
73.7	17